(1)
Starting from a cell relaxed with GGA-PBE, the X-ray diffraction stick pattern of KSrCa2 was computed for Cu Kα X-rays.

The 12 most intense peaks (2θ = 10–80°), by intensity:
2θ/deg, d/Å, I_rel, h k l
27.34, 3.262, 100, 0 1 5
25.52, 3.490, 90, 0 0 12
29.31, 3.047, 72, 1 0 7
51.83, 1.764, 43, 1 1 12
44.30, 2.045, 32, 1 1 0
44.83, 2.022, 30, 0 1 17
33.13, 2.704, 29, 1 0 10
52.85, 1.732, 14, 2 0 5
48.67, 1.871, 14, 1 0 19
71.03, 1.327, 13, 1 1 24
54.01, 1.698, 12, 0 2 7
71.36, 1.322, 11, 1 2 5

Cell and atoms:
Cell: 4.0893 4.0893 41.8616 Å, 90.00 90.00 120.00°
Fractional positions:
K: 0.0000 0.0000 0.0000
K: 0.3333 0.6667 0.6667
K: 0.6667 0.3333 0.3333
Sr: 0.0000 0.0000 0.8332
Sr: 0.3333 0.6667 0.4999
Sr: 0.6667 0.3333 0.1666
Ca: 0.0000 0.0000 0.2460
Ca: 0.0000 0.0000 0.4205
Ca: 0.3333 0.6667 0.0872
Ca: 0.3333 0.6667 0.9127
Ca: 0.6667 0.3333 0.5794
Ca: 0.6667 0.3333 0.7538



(2)
Starting from a cell relaxed with GGA-PBE, the X-ray diffraction stick pattern of YH8Rh4 was computed for Cu Kα X-rays.

The 12 most intense peaks (2θ = 10–80°), by intensity:
2θ/deg, d/Å, I_rel, h k l
18.67, 4.752, 100, 0 1 0
37.03, 2.428, 55, 0 0 2
37.86, 2.376, 36, 0 2 0
38.93, 2.313, 33, 2 0 0
39.06, 2.306, 33, 2 2 2
44.13, 2.052, 25, 0 2 2
44.52, 2.035, 24, 2 2 0
44.64, 2.030, 24, 2 0 2
35.83, 2.506, 20, 0 1 2
37.19, 2.418, 16, 2 1 2
65.10, 1.433, 15, 2 4 2
19.21, 4.620, 14, 1 1 1

Cell and atoms:
Cell: 5.5886 5.7312 5.8197 Å, 61.72 61.55 60.89°
Fractional positions:
Y: 0.0000 0.0000 0.0000
H: 0.2068 0.7209 0.3672
H: 0.2216 0.3349 0.2230
H: 0.2890 0.6494 0.7712
H: 0.2949 0.2790 0.6333
H: 0.7051 0.7210 0.3667
H: 0.7110 0.3506 0.2288
H: 0.7784 0.6651 0.7770
H: 0.7932 0.2791 0.6328
Rh: 0.0000 0.5000 0.0000
Rh: 0.0000 0.5000 0.5000
Rh: 0.5000 0.5000 0.0000
Rh: 0.5000 0.5000 0.5000



(3)
Starting from a cell relaxed with GGA-PBE, the X-ray diffraction stick pattern of AsSe was computed for Cu Kα X-rays.

The 12 most intense peaks (2θ = 10–80°), by intensity:
2θ/deg, d/Å, I_rel, h k l
15.19, 5.831, 100, 0 2 1
14.31, 6.188, 77, 1 1 -1
25.99, 3.429, 71, 0 4 1
30.33, 2.947, 69, 1 4 -2
45.26, 2.004, 44, 1 6 -3
27.93, 3.195, 39, 1 1 2
29.89, 2.989, 38, 1 2 2
26.13, 3.411, 37, 2 0 -2
47.12, 1.929, 36, 1 2 4
50.36, 1.812, 34, 3 4 -4
27.25, 3.272, 33, 1 0 2
33.07, 2.709, 31, 2 1 1

Cell and atoms:
Cell: 7.1169 14.7007 10.4858 Å, 90.00 114.01 90.00°
Fractional positions:
As: 0.0405 0.1408 0.4274
As: 0.0405 0.3592 0.9274
As: 0.1490 0.0102 0.8774
As: 0.1490 0.4898 0.3774
As: 0.1766 0.6614 0.4523
As: 0.1766 0.8386 0.9523
As: 0.3601 0.6292 0.1779
As: 0.3601 0.8708 0.6779
As: 0.6399 0.1292 0.3221
As: 0.6399 0.3708 0.8221
As: 0.8234 0.1614 0.0477
As: 0.8234 0.3386 0.5477
As: 0.8510 0.5102 0.6226
As: 0.8510 0.9898 0.1226
As: 0.9595 0.6408 0.0726
As: 0.9595 0.8592 0.5726
Se: 0.0902 0.2287 0.2489
Se: 0.0902 0.2713 0.7489
Se: 0.1308 0.5012 0.8509
Se: 0.1308 0.9988 0.3509
Se: 0.4106 0.0186 0.7871
Se: 0.4106 0.4814 0.2871
Se: 0.4513 0.7124 0.3928
Se: 0.4513 0.7876 0.8928
Se: 0.5487 0.2124 0.1072
Se: 0.5487 0.2876 0.6072
Se: 0.5894 0.5186 0.7129
Se: 0.5894 0.9814 0.2129
Se: 0.8692 0.0012 0.6491
Se: 0.8692 0.4988 0.1491
Se: 0.9098 0.7287 0.2511
Se: 0.9098 0.7713 0.7511



(4)
Starting from a cell relaxed with GGA-PBE, the X-ray diffraction stick pattern of Sr2MgVN4 was computed for Cu Kα X-rays.

The 12 most intense peaks (2θ = 10–80°), by intensity:
2θ/deg, d/Å, I_rel, h k l
32.70, 2.739, 100, 1 2 1
30.60, 2.922, 37, 2 0 0
43.19, 2.095, 32, 2 0 2
29.73, 3.005, 30, 0 0 2
55.73, 1.649, 22, 3 2 1
54.67, 1.679, 21, 1 2 3
50.40, 1.811, 17, 0 4 0
21.21, 4.189, 16, 1 0 1
68.52, 1.369, 15, 2 4 2
39.64, 2.273, 13, 2 2 0
38.96, 2.312, 12, 0 2 2
14.74, 6.009, 10, 0 0 1

Cell and atoms:
Cell: 5.8432 7.2392 6.0092 Å, 90.00 90.00 90.00°
Fractional positions:
Sr: 0.2500 0.0028 0.2322
Sr: 0.2500 0.4972 0.2322
Sr: 0.7500 0.5028 0.7678
Sr: 0.7500 0.9972 0.7678
Mg: 0.2500 0.2500 0.7796
Mg: 0.7500 0.7500 0.2204
V: 0.2500 0.7500 0.8010
V: 0.7500 0.2500 0.1990
N: 0.0089 0.7500 0.9868
N: 0.2500 0.5264 0.6534
N: 0.2500 0.9736 0.6534
N: 0.4911 0.7500 0.9868
N: 0.5089 0.2500 0.0132
N: 0.7500 0.0264 0.3466
N: 0.7500 0.4736 0.3466
N: 0.9911 0.2500 0.0132



> Number 1 is which compound?

KSrCa2



Copy entry 3 word for word.
Starting from a cell relaxed with GGA-PBE, the X-ray diffraction stick pattern of AsSe was computed for Cu Kα X-rays.

The 12 most intense peaks (2θ = 10–80°), by intensity:
2θ/deg, d/Å, I_rel, h k l
15.19, 5.831, 100, 0 2 1
14.31, 6.188, 77, 1 1 -1
25.99, 3.429, 71, 0 4 1
30.33, 2.947, 69, 1 4 -2
45.26, 2.004, 44, 1 6 -3
27.93, 3.195, 39, 1 1 2
29.89, 2.989, 38, 1 2 2
26.13, 3.411, 37, 2 0 -2
47.12, 1.929, 36, 1 2 4
50.36, 1.812, 34, 3 4 -4
27.25, 3.272, 33, 1 0 2
33.07, 2.709, 31, 2 1 1

Cell and atoms:
Cell: 7.1169 14.7007 10.4858 Å, 90.00 114.01 90.00°
Fractional positions:
As: 0.0405 0.1408 0.4274
As: 0.0405 0.3592 0.9274
As: 0.1490 0.0102 0.8774
As: 0.1490 0.4898 0.3774
As: 0.1766 0.6614 0.4523
As: 0.1766 0.8386 0.9523
As: 0.3601 0.6292 0.1779
As: 0.3601 0.8708 0.6779
As: 0.6399 0.1292 0.3221
As: 0.6399 0.3708 0.8221
As: 0.8234 0.1614 0.0477
As: 0.8234 0.3386 0.5477
As: 0.8510 0.5102 0.6226
As: 0.8510 0.9898 0.1226
As: 0.9595 0.6408 0.0726
As: 0.9595 0.8592 0.5726
Se: 0.0902 0.2287 0.2489
Se: 0.0902 0.2713 0.7489
Se: 0.1308 0.5012 0.8509
Se: 0.1308 0.9988 0.3509
Se: 0.4106 0.0186 0.7871
Se: 0.4106 0.4814 0.2871
Se: 0.4513 0.7124 0.3928
Se: 0.4513 0.7876 0.8928
Se: 0.5487 0.2124 0.1072
Se: 0.5487 0.2876 0.6072
Se: 0.5894 0.5186 0.7129
Se: 0.5894 0.9814 0.2129
Se: 0.8692 0.0012 0.6491
Se: 0.8692 0.4988 0.1491
Se: 0.9098 0.7287 0.2511
Se: 0.9098 0.7713 0.7511